Diffraction record for InSn2HgSe4. The X-ray diffraction stick pattern is computed, not measured: it uses DFT lattice parameters and positions (PBE) and Cu Kα, 1.54184 Å.
Kinematic intensities with the Lorentz-polarization factor, no thermal factor.

Peak list (8 most intense, 2θ from 10° to 90°, low angle first)
Position (°2θ)	intensity
29.93	100
30.23	49
42.47	19
42.92	37
43.21	55
53.01	20
70.94	17
78.84	13

a b c (Å): 7.2144 4.2574 7.2754
angles (deg): 90.00 109.38 90.00
Space group P2/m (No. 10)
Asymmetric unit:
1 In 0.0000 0.0000 0.0000
2 Sn 0.5000 0.0000 0.5000
3 Sn 0.5000 0.5000 0.0000
4 Hg 0.0000 0.5000 0.5000
5 Se 0.2470 0.5000 0.2497
6 Se 0.2483 0.0000 0.7515